Diffraction record for Sr2TlIn. The powder diffraction line list is simulated, not measured: it uses a cell relaxed with PBE and λ = 1.5418 Å (Cu Kα).

Crystal structure
```
data_Sr2TlIn
_chemical_formula_sum 'Sr8 Tl4 In4'
_cell_length_a 8.251
_cell_length_b 8.251
_cell_length_c 8.251
_cell_angle_alpha 90.00
_cell_angle_beta 90.00
_cell_angle_gamma 90.00
_space_group_name_H-M_alt 'F m -3 m'
_space_group_IT_number 225
_space_group_name_Hall '-F 4 2 3'
loop_
_atom_site_label
_atom_site_type_symbol
_atom_site_fract_x
_atom_site_fract_y
_atom_site_fract_z
Sr1 Sr 0.250 0.250 0.250
Tl1 Tl 0.000 0.000 0.000
In1 In 0.000 0.000 0.500
```

The 10 most intense peaks (5° ≤ 2θ ≤ 70°), by intensity:
(hkl)	2θ (°)	I (rel.)
2 2 0	30.65	100.0
4 2 2	54.48	39.3
4 0 0	43.89	18.6
4 4 0	63.82	12.2
2 0 0	21.54	9.3
1 1 1	18.63	5.9
4 2 0	49.40	4.4
3 1 1	36.11	3.6
2 2 2	37.77	3.1
6 0 0	68.20	2.1